(1)
Calculated PXRD pattern of H7S2Cl2 for Cu Kα (weighted mean of Kα1 and Kα2), from DFT lattice parameters and positions (GGA-PBE).
Peak positions follow from Bragg's law for the DFT cell and can differ from measured ones.

Peak list (10 most intense, 2θ from 10° to 80°, in order of falling intensity)
d_spacing  I/Imax  hkl
3.585  1000  0 1 2
3.528  878  1 2 -1
6.260  741  0 1 1
2.608  614  1 3 -2
3.355  560  1 2 0
5.557  339  0 2 0
2.318  275  1 4 0
2.239  219  2 1 -2
3.044  182  1 1 1
2.781  177  1 3 0

Structure:
```
data_H7S2Cl2
_space_group_name_H-M_alt 'P 1 21/c 1'
_space_group_IT_number 14
_cell_length_a 4.622
_cell_length_b 11.115
_cell_length_c 8.320
_cell_angle_alpha 90.00
_cell_angle_beta 114.43
_cell_angle_gamma 90.00
loop_
_space_group_symop_operation_xyz
'x,y,z'
'-x,-y,-z'
'-x,y+1/2,-z+1/2'
'x,-y+1/2,z+1/2'
loop_
_atom_site_label
_atom_site_type_symbol
_atom_site_fract_x
_atom_site_fract_y
_atom_site_fract_z
H1 H 0.000 0.000 0.000
H2 H 0.061 0.025 0.516
H3 H 0.109 0.178 0.126
H4 H 0.310 0.654 0.590
S1 S 0.162 0.602 0.421
Cl1 Cl 0.485 0.218 0.663
```

=====

(2)
Calculated PXRD pattern of H2SCl for Cu Kα (weighted mean of Kα1 and Kα2), from DFT lattice parameters and positions (GGA-PBE).
Peak positions follow from Bragg's law for the DFT cell and can differ from measured ones.

Peak list (10 most intense, 2θ from 10° to 80°, in order of falling intensity)
d_spacing  I/Imax  hkl
3.664  1000  0 0 2
3.683  994  0 2 0
2.188  798  2 0 0
2.597  648  0 2 2
2.723  446  2 0 -2
1.880  440  2 2 0
1.405  160  2 2 -6
1.408  147  2 4 0
1.640  137  0 2 4
1.645  127  0 4 2

Structure:
```
data_H2SCl
_space_group_name_H-M_alt 'P 1 21/c 1'
_space_group_IT_number 14
_cell_length_a 5.447
_cell_length_b 7.366
_cell_length_c 9.129
_cell_angle_alpha 90.00
_cell_angle_beta 126.61
_cell_angle_gamma 90.00
loop_
_space_group_symop_operation_xyz
'x,y,z'
'-x,-y,-z'
'-x,y+1/2,-z+1/2'
'x,-y+1/2,z+1/2'
loop_
_atom_site_label
_atom_site_type_symbol
_atom_site_fract_x
_atom_site_fract_y
_atom_site_fract_z
H1 H 0.069 0.236 0.068
H2 H 0.262 0.079 0.761
S1 S 0.256 0.235 0.255
Cl1 Cl 0.249 0.739 0.250
```

=====

(3)
Calculated PXRD pattern of H6S3Cl2 for Cu Kα (weighted mean of Kα1 and Kα2), from DFT lattice parameters and positions (GGA-PBE).
Peak positions follow from Bragg's law for the DFT cell and can differ from measured ones.

Peak list (10 most intense, 2θ from 10° to 80°, in order of falling intensity)
d_spacing  I/Imax  hkl
3.353  1000  0 2 2
2.967  258  2 2 0
2.611  167  3 1 0
2.688  147  0 0 4
5.375  142  0 0 2
3.232  131  2 0 2
3.299  131  2 0 -2
3.089  125  1 1 -3
2.145  118  0 4 0
3.047  115  1 1 3

Structure:
```
data_H6S3Cl2
_space_group_name_H-M_alt 'C 1 2/c 1'
_space_group_IT_number 15
_cell_length_a 8.221
_cell_length_b 8.579
_cell_length_c 10.753
_cell_angle_alpha 90.00
_cell_angle_beta 91.22
_cell_angle_gamma 90.00
loop_
_space_group_symop_operation_xyz
'x,y,z'
'-x,-y,-z'
'-x,y,-z+1/2'
'x,-y,z+1/2'
'x+1/2,y+1/2,z'
'-x+1/2,-y+1/2,-z'
'-x+1/2,y+1/2,-z+1/2'
'x+1/2,-y+1/2,z+1/2'
loop_
_atom_site_label
_atom_site_type_symbol
_atom_site_fract_x
_atom_site_fract_y
_atom_site_fract_z
H1 H 0.002 0.110 0.351
H2 H 0.162 0.410 0.158
H3 H 0.168 0.411 0.343
S1 S 0.000 0.018 0.750
S2 S 0.209 0.484 0.750
Cl1 Cl 0.002 0.260 0.453
```

=====

(4)
Calculated PXRD pattern of H2S4Cl for Cu Kα (weighted mean of Kα1 and Kα2), from DFT lattice parameters and positions (GGA-PBE).
Peak positions follow from Bragg's law for the DFT cell and can differ from measured ones.

Peak list (10 most intense, 2θ from 10° to 80°, in order of falling intensity)
d_spacing  I/Imax  hkl
3.613  1000  1 0 -1
3.750  600  0 2 1
4.279  531  0 1 -2
2.601  354  0 3 -1
3.386  309  1 -1 1
3.600  266  1 1 2
4.184  198  1 1 0
2.938  175  1 1 -2
2.583  154  1 3 0
1.807  131  2 0 -2

Structure:
```
data_H2S4Cl
_space_group_name_H-M_alt 'P 1'
_space_group_IT_number 1
_cell_length_a 4.436
_cell_length_b 8.366
_cell_length_c 10.322
_cell_angle_alpha 86.97
_cell_angle_beta 77.77
_cell_angle_gamma 74.98
loop_
_space_group_symop_operation_xyz
'x,y,z'
loop_
_atom_site_label
_atom_site_type_symbol
_atom_site_fract_x
_atom_site_fract_y
_atom_site_fract_z
H1 H 0.000 0.000 0.000
H2 H 0.072 0.503 0.836
H3 H 0.165 0.304 0.339
H4 H 0.588 0.805 0.497
S1 S 0.036 0.838 0.611
S2 S 0.313 0.005 0.946
S3 S 0.333 0.506 0.890
S4 S 0.425 0.303 0.392
S5 S 0.485 0.989 0.109
S6 S 0.664 0.494 0.727
S7 S 0.726 0.336 0.225
S8 S 0.902 0.804 0.443
Cl1 Cl 0.663 0.592 0.190
Cl2 Cl 0.937 0.095 0.646
```

=====

(5)
Calculated PXRD pattern of H4SCl2 for Cu Kα (weighted mean of Kα1 and Kα2), from DFT lattice parameters and positions (GGA-PBE).
Peak positions follow from Bragg's law for the DFT cell and can differ from measured ones.

Peak list (10 most intense, 2θ from 10° to 80°, in order of falling intensity)
d_spacing  I/Imax  hkl
2.858  1000  0 2 1
3.502  921  2 0 0
4.370  880  1 1 -1
2.740  680  2 2 -1
2.711  405  2 0 -2
2.322  280  1 3 0
4.521  241  0 0 1
2.260  210  0 0 2
1.909  192  2 2 1
2.628  178  3 1 -1

Structure:
```
data_H4SCl2
_space_group_name_H-M_alt 'C 1 m 1'
_space_group_IT_number 8
_cell_length_a 8.446
_cell_length_b 7.384
_cell_length_c 5.451
_cell_angle_alpha 90.00
_cell_angle_beta 123.97
_cell_angle_gamma 90.00
loop_
_space_group_symop_operation_xyz
'x,y,z'
'x,-y,z'
'x+1/2,y+1/2,z'
'x+1/2,-y+1/2,z'
loop_
_atom_site_label
_atom_site_type_symbol
_atom_site_fract_x
_atom_site_fract_y
_atom_site_fract_z
H1 H 0.000 0.000 0.000
H2 H 0.170 0.500 0.653
H3 H 0.485 0.137 0.277
S1 S 0.477 0.000 0.451
Cl1 Cl 0.493 0.290 0.976
```

=====

(6)
Calculated PXRD pattern of Tl3H4S2Cl3 for Cu Kα (weighted mean of Kα1 and Kα2), from DFT lattice parameters and positions (GGA-PBE).
Peak positions follow from Bragg's law for the DFT cell and can differ from measured ones.

Peak list (10 most intense, 2θ from 10° to 80°, in order of falling intensity)
d_spacing  I/Imax  hkl
3.114  1000  0 5 1
4.649  998  1 3 0
3.991  948  0 3 1
3.257  818  2 0 0
2.251  803  2 5 1
3.964  653  1 0 1
2.523  573  2 3 1
3.682  471  1 2 1
3.397  428  1 5 0
2.108  403  1 8 1

Structure:
```
data_Tl3H4S2Cl3
_space_group_name_H-M_alt 'I m m 2'
_space_group_IT_number 44
_cell_length_a 6.514
_cell_length_b 19.910
_cell_length_c 4.995
_cell_angle_alpha 90.00
_cell_angle_beta 90.00
_cell_angle_gamma 90.00
loop_
_space_group_symop_operation_xyz
'x,y,z'
'-x,-y,z'
'-x,y,z'
'x,-y,z'
'x+1/2,y+1/2,z+1/2'
'-x+1/2,-y+1/2,z+1/2'
'-x+1/2,y+1/2,z+1/2'
'x+1/2,-y+1/2,z+1/2'
loop_
_atom_site_label
_atom_site_type_symbol
_atom_site_fract_x
_atom_site_fract_y
_atom_site_fract_z
Tl1 Tl 0.000 0.000 0.000
Tl2 Tl 0.000 0.381 0.905
H1 H 0.000 0.128 0.651
H2 H 0.000 0.208 0.384
S1 S 0.000 0.131 0.381
Cl1 Cl 0.000 0.292 0.405
Cl2 Cl 0.000 0.500 0.425
```

=====

(7)
Calculated PXRD pattern of H4SeCl2 for Cu Kα (weighted mean of Kα1 and Kα2), from DFT lattice parameters and positions (GGA-PBE).
Peak positions follow from Bragg's law for the DFT cell and can differ from measured ones.

Peak list (10 most intense, 2θ from 10° to 80°, in order of falling intensity)
d_spacing  I/Imax  hkl
4.347  1000  1 1 -1
3.540  638  2 0 0
2.905  610  0 2 1
2.764  514  2 2 -1
5.184  477  1 1 0
2.883  311  1 1 1
2.388  301  1 3 0
2.648  276  2 0 -2
2.625  228  3 1 -1
1.940  167  2 2 1

Structure:
```
data_H4SeCl2
_space_group_name_H-M_alt 'C 1 m 1'
_space_group_IT_number 8
_cell_length_a 8.392
_cell_length_b 7.610
_cell_length_c 5.332
_cell_angle_alpha 90.00
_cell_angle_beta 122.46
_cell_angle_gamma 90.00
loop_
_space_group_symop_operation_xyz
'x,y,z'
'x,-y,z'
'x+1/2,y+1/2,z'
'x+1/2,-y+1/2,z'
loop_
_atom_site_label
_atom_site_type_symbol
_atom_site_fract_x
_atom_site_fract_y
_atom_site_fract_z
H1 H 0.000 0.000 0.000
H2 H 0.172 0.500 0.682
H3 H 0.477 0.144 0.278
Se1 Se 0.462 0.000 0.470
Cl1 Cl 0.498 0.296 0.983
```

=====

(8)
Calculated PXRD pattern of H6Se2Cl for Cu Kα (weighted mean of Kα1 and Kα2), from DFT lattice parameters and positions (GGA-PBE).
Peak positions follow from Bragg's law for the DFT cell and can differ from measured ones.

Peak list (10 most intense, 2θ from 10° to 80°, in order of falling intensity)
d_spacing  I/Imax  hkl
3.219  1000  2 2 -1
6.005  968  1 1 0
2.962  908  0 4 1
3.270  892  0 0 2
2.786  822  1 3 -2
5.571  723  1 1 -1
3.701  695  1 3 0
3.002  482  2 2 0
2.410  469  2 2 1
3.779  439  1 1 1

Structure:
```
data_H6Se2Cl
_space_group_name_H-M_alt 'C 1 c 1'
_space_group_IT_number 9
_cell_length_a 7.401
_cell_length_b 13.291
_cell_length_c 7.190
_cell_angle_alpha 90.00
_cell_angle_beta 114.57
_cell_angle_gamma 90.00
loop_
_space_group_symop_operation_xyz
'x,y,z'
'x,-y,z+1/2'
'x+1/2,y+1/2,z'
'x+1/2,-y+1/2,z+1/2'
loop_
_atom_site_label
_atom_site_type_symbol
_atom_site_fract_x
_atom_site_fract_y
_atom_site_fract_z
H1 H 0.000 0.055 0.000
H2 H 0.185 0.072 0.695
H3 H 0.198 0.375 0.508
H4 H 0.200 0.189 0.470
H5 H 0.277 0.323 0.271
H6 H 0.337 0.390 0.939
Se1 Se 0.103 0.064 0.469
Se2 Se 0.362 0.314 0.499
Cl1 Cl 0.140 0.369 0.915
```

=====

(9)
Calculated PXRD pattern of H6Se3Cl for Cu Kα (weighted mean of Kα1 and Kα2), from DFT lattice parameters and positions (GGA-PBE).
Peak positions follow from Bragg's law for the DFT cell and can differ from measured ones.

Peak list (10 most intense, 2θ from 10° to 80°, in order of falling intensity)
d_spacing  I/Imax  hkl
3.316  1000  0 2 1
2.801  463  2 2 0
3.234  372  3 0 0
2.854  357  2 1 1
2.057  209  2 0 2
1.999  179  3 2 1
1.590  172  2 3 2
2.140  165  4 0 1
1.785  151  0 5 1
1.554  145  5 2 0

Structure:
```
data_H6Se3Cl
_space_group_name_H-M_alt 'R 3 m'
_space_group_IT_number 160
_space_group_name_Hall 'R 3 -2"'
_cell_length_a 11.2034
_cell_length_b 11.2034
_cell_length_c 4.5434
_cell_angle_alpha 90.00
_cell_angle_beta 90.00
_cell_angle_gamma 120.00
loop_
_atom_site_label
_atom_site_type_symbol
_atom_site_fract_x
_atom_site_fract_y
_atom_site_fract_z
H1 H 0.0855 0.1710 0.0000
H2 H 0.1974 0.3948 0.9877
Se1 Se 0.0512 0.5256 0.4307
Cl1 Cl 0.0000 0.0000 0.3177
```

=====

(10)
Calculated PXRD pattern of Tl2H2SeCl2 for Cu Kα (weighted mean of Kα1 and Kα2), from DFT lattice parameters and positions (GGA-PBE).
Peak positions follow from Bragg's law for the DFT cell and can differ from measured ones.

Peak list (10 most intense, 2θ from 10° to 80°, in order of falling intensity)
d_spacing  I/Imax  hkl
5.327  1000  0 1 1
3.013  433  1 1 -1
2.964  410  1 -1 1
3.745  302  1 1 1
3.361  271  0 0 2
2.663  263  0 2 2
2.813  248  1 0 2
3.164  245  0 2 0
3.082  243  -1 1 1
2.731  234  1 2 0

Structure:
```
data_Tl2H2SeCl2
_space_group_name_H-M_alt 'P -1'
_space_group_IT_number 2
_cell_length_a 4.428
_cell_length_b 6.629
_cell_length_c 7.025
_cell_angle_alpha 74.31
_cell_angle_beta 81.41
_cell_angle_gamma 80.59
loop_
_space_group_symop_operation_xyz
'x,y,z'
'-x,-y,-z'
loop_
_atom_site_label
_atom_site_type_symbol
_atom_site_fract_x
_atom_site_fract_y
_atom_site_fract_z
Tl1 Tl 0.001 0.245 0.266
H1 H 0.463 0.320 0.825
Se1 Se 0.500 0.500 0.000
Cl1 Cl 0.399 0.202 0.698
```

=====

(11)
Calculated PXRD pattern of ZrHSeCl for Cu Kα (weighted mean of Kα1 and Kα2), from DFT lattice parameters and positions (GGA-PBE).
Peak positions follow from Bragg's law for the DFT cell and can differ from measured ones.

Peak list (10 most intense, 2θ from 10° to 80°, in order of falling intensity)
d_spacing  I/Imax  hkl
7.168  1000  0 0 3
2.509  626  0 1 5
2.970  435  0 1 2
2.179  418  1 0 7
1.784  297  1 1 0
2.679  290  1 0 4
3.059  215  1 0 1
1.264  182  1 1 12
1.731  144  1 1 3
2.028  142  0 1 8

Structure:
```
data_ZrHSeCl
_space_group_name_H-M_alt 'R 3 m'
_space_group_IT_number 160
_space_group_name_Hall 'R 3 -2"'
_cell_length_a 3.5680
_cell_length_b 3.5680
_cell_length_c 21.5027
_cell_angle_alpha 90.00
_cell_angle_beta 90.00
_cell_angle_gamma 120.00
loop_
_atom_site_label
_atom_site_type_symbol
_atom_site_fract_x
_atom_site_fract_y
_atom_site_fract_z
Zr1 Zr 0.0000 0.0000 0.0000
H1 H 0.0000 0.0000 0.6653
Se1 Se 0.0000 0.0000 0.4157
Cl1 Cl 0.0000 0.0000 0.2511
```

=====

(12)
Calculated PXRD pattern of SiH4Cl for Cu Kα (weighted mean of Kα1 and Kα2), from DFT lattice parameters and positions (GGA-PBE).
Peak positions follow from Bragg's law for the DFT cell and can differ from measured ones.

Peak list (10 most intense, 2θ from 10° to 80°, in order of falling intensity)
d_spacing  I/Imax  hkl
3.310  1000  1 1 1
3.002  596  3 1 -1
3.741  461  3 1 0
4.390  328  4 0 0
2.927  281  6 0 0
4.073  261  2 0 1
2.432  234  0 2 0
2.847  230  5 1 0
1.975  229  7 1 1
2.334  186  2 0 -2

Structure:
```
data_SiH4Cl
_space_group_name_H-M_alt 'C 1 2/m 1'
_space_group_IT_number 12
_cell_length_a 17.598
_cell_length_b 4.863
_cell_length_c 4.767
_cell_angle_alpha 90.00
_cell_angle_beta 93.72
_cell_angle_gamma 90.00
loop_
_space_group_symop_operation_xyz
'x,y,z'
'-x,-y,-z'
'-x,y,-z'
'x,-y,z'
'x+1/2,y+1/2,z'
'-x+1/2,-y+1/2,-z'
'-x+1/2,y+1/2,-z'
'x+1/2,-y+1/2,z'
loop_
_atom_site_label
_atom_site_type_symbol
_atom_site_fract_x
_atom_site_fract_y
_atom_site_fract_z
Si1 Si 0.000 0.000 0.000
Si2 Si 0.000 0.500 0.500
H1 H 0.003 0.246 0.248
H2 H 0.085 0.500 0.531
H3 H 0.139 0.000 0.882
Cl1 Cl 0.191 0.000 0.698
```